Starting from a PBE-relaxed structure, the XRD peak list of TmAlPt was computed for Cu Kα.
Peak positions follow from Bragg's law for the DFT cell and can differ from measured ones.

Lattice parameters (Å, degrees): 6.8145 4.4043 7.7098 90.00 90.00 90.00
Fractional positions:
Tm 0.0283 0.2500 0.1833
Tm 0.4717 0.7500 0.6833
Tm 0.5283 0.2500 0.3167
Tm 0.9717 0.7500 0.8167
Al 0.1500 0.2500 0.5650
Al 0.3500 0.7500 0.0650
Al 0.6500 0.2500 0.9350
Al 0.8500 0.7500 0.4350
Pt 0.2270 0.7500 0.3859
Pt 0.2730 0.2500 0.8859
Pt 0.7270 0.7500 0.1141
Pt 0.7730 0.2500 0.6141

Principal peaks in the range 2θ = 10–90°, low angle first:
| 2θ (°) | d/Å | intensity |
| --- | --- | --- |
| 26.57 | 3.355 | 32 |
| 26.73 | 3.335 | 51 |
| 33.58 | 2.669 | 42 |
| 35.28 | 2.544 | 100 |
| 40.65 | 2.220 | 27 |
| 40.98 | 2.202 | 35 |
| 42.85 | 2.111 | 16 |
| 46.40 | 1.957 | 19 |

***

Starting from a PBE-relaxed structure, the XRD peak list of UAlPt was computed for Cu Kα.
Peak positions follow from Bragg's law for the DFT cell and can differ from measured ones.

Lattice parameters (Å, degrees): 6.9725 6.9725 4.1733 90.00 90.00 120.00
Fractional positions:
U 0.0000 0.5747 0.0000
U 0.4253 0.4253 0.0000
U 0.5747 0.0000 0.0000
Al 0.0000 0.2374 0.5000
Al 0.2374 0.0000 0.5000
Al 0.7626 0.7626 0.5000
Pt 0.0000 0.0000 0.0000
Pt 0.3333 0.6667 0.5000
Pt 0.6667 0.3333 0.5000

Principal peaks in the range 2θ = 10–90°, low angle first:
| 2θ (°) | d/Å | intensity |
| --- | --- | --- |
| 25.55 | 3.486 | 30 |
| 29.59 | 3.019 | 24 |
| 33.49 | 2.676 | 60 |
| 36.74 | 2.446 | 100 |
| 43.36 | 2.087 | 23 |
| 45.04 | 2.013 | 19 |
| 45.29 | 2.002 | 21 |
| 59.47 | 1.554 | 19 |

***

Starting from a PBE-relaxed structure, the XRD peak list of ZrAlPt2 was computed for Cu Kα.
Peak positions follow from Bragg's law for the DFT cell and can differ from measured ones.

Lattice parameters (Å, degrees): 4.5413 4.5413 8.2591 90.00 90.00 120.00
Fractional positions:
Zr 0.3333 0.6667 0.2500
Zr 0.6667 0.3333 0.7500
Al 0.0000 0.0000 0.2500
Al 0.0000 0.0000 0.7500
Pt 0.3333 0.6667 0.5835
Pt 0.3333 0.6667 0.9165
Pt 0.6667 0.3333 0.0835
Pt 0.6667 0.3333 0.4165

Principal peaks in the range 2θ = 10–90°, low angle first:
| 2θ (°) | d/Å | intensity |
| --- | --- | --- |
| 22.61 | 3.933 | 57 |
| 25.08 | 3.551 | 14 |
| 39.70 | 2.271 | 76 |
| 39.98 | 2.255 | 100 |
| 57.60 | 1.600 | 35 |
| 72.04 | 1.311 | 13 |
| 72.23 | 1.308 | 35 |
| 81.83 | 1.177 | 19 |

***

Starting from a PBE-relaxed structure, the XRD peak list of Pu3Al was computed for Cu Kα.
Peak positions follow from Bragg's law for the DFT cell and can differ from measured ones.

Lattice parameters (Å, degrees): 4.4459 4.4459 4.2862 90.00 90.00 90.00
Fractional positions:
Pu 0.0000 0.0000 0.0000
Pu 0.0000 0.5000 0.5000
Pu 0.5000 0.0000 0.5000
Al 0.5000 0.5000 0.0000

Principal peaks in the range 2θ = 10–90°, low angle first:
| 2θ (°) | d/Å | intensity |
| --- | --- | --- |
| 19.97 | 4.446 | 16 |
| 28.94 | 3.086 | 13 |
| 35.41 | 2.535 | 100 |
| 40.58 | 2.223 | 35 |
| 42.17 | 2.143 | 16 |
| 59.96 | 1.543 | 23 |
| 70.49 | 1.336 | 28 |
| 72.70 | 1.301 | 13 |

***

Starting from a PBE-relaxed structure, the XRD peak list of Pu3Al was computed for Cu Kα.
Peak positions follow from Bragg's law for the DFT cell and can differ from measured ones.

Lattice parameters (Å, degrees): 11.6278 11.6278 11.6278 13.16 13.16 13.16
Fractional positions:
Pu 0.0000 0.0000 0.0000
Pu 0.2442 0.2442 0.2442
Pu 0.7558 0.7558 0.7558
Al 0.5000 0.5000 0.5000

Principal peaks in the range 2θ = 10–90°, low angle first:
| 2θ (°) | d/Å | intensity |
| --- | --- | --- |
| 15.38 | 5.763 | 25 |
| 23.15 | 3.842 | 33 |
| 31.04 | 2.881 | 60 |
| 40.46 | 2.229 | 100 |
| 44.51 | 2.035 | 74 |
| 58.52 | 1.577 | 28 |
| 70.72 | 1.332 | 20 |
| 79.22 | 1.209 | 27 |

***

Starting from a PBE-relaxed structure, the XRD peak list of PuAl4 was computed for Cu Kα.
Peak positions follow from Bragg's law for the DFT cell and can differ from measured ones.

Lattice parameters (Å, degrees): 7.8230 7.8230 7.8230 147.44 135.09 56.56
Fractional positions:
Pu 0.3582 0.1082 0.2500
Pu 0.6418 0.8918 0.7500
Al 0.0000 0.5000 0.5000
Al 0.1402 0.8902 0.2500
Al 0.1948 0.6994 0.4954
Al 0.2961 0.3006 0.9954
Al 0.5000 0.5000 0.0000
Al 0.7039 0.6994 0.0046
Al 0.8052 0.3006 0.5046
Al 0.8598 0.1098 0.7500

Principal peaks in the range 2θ = 10–90°, low angle first:
| 2θ (°) | d/Å | intensity |
| --- | --- | --- |
| 16.17 | 5.482 | 73 |
| 21.26 | 4.180 | 61 |
| 24.44 | 3.642 | 60 |
| 25.87 | 3.445 | 29 |
| 28.37 | 3.146 | 100 |
| 36.98 | 2.431 | 75 |
| 38.58 | 2.333 | 61 |
| 39.94 | 2.257 | 39 |

***

Starting from a PBE-relaxed structure, the XRD peak list of Rb3Al was computed for Cu Kα.
Peak positions follow from Bragg's law for the DFT cell and can differ from measured ones.

Lattice parameters (Å, degrees): 6.7531 6.7531 6.7531 60.00 60.00 60.00
Fractional positions:
Rb 0.0000 0.0000 0.0000
Rb 0.2500 0.2500 0.2500
Rb 0.7500 0.7500 0.7500
Al 0.5000 0.5000 0.5000

Principal peaks in the range 2θ = 10–90°, low angle first:
| 2θ (°) | d/Å | intensity |
| --- | --- | --- |
| 16.07 | 5.514 | 9 |
| 26.40 | 3.377 | 100 |
| 37.68 | 2.388 | 19 |
| 46.59 | 1.949 | 41 |
| 54.34 | 1.688 | 13 |
| 61.40 | 1.510 | 18 |
| 74.32 | 1.276 | 20 |
| 86.46 | 1.126 | 11 |

***

Starting from a PBE-relaxed structure, the XRD peak list of Rb3Al was computed for Cu Kα.
Peak positions follow from Bragg's law for the DFT cell and can differ from measured ones.

Lattice parameters (Å, degrees): 7.1770 7.1770 7.1770 128.51 128.51 75.81
Fractional positions:
Rb 0.0000 0.0000 0.0000
Rb 0.2500 0.7500 0.5000
Rb 0.7500 0.2500 0.5000
Al 0.5000 0.5000 0.0000

Principal peaks in the range 2θ = 10–90°, low angle first:
| 2θ (°) | d/Å | intensity |
| --- | --- | --- |
| 25.61 | 3.479 | 100 |
| 28.63 | 3.118 | 37 |
| 31.60 | 2.832 | 14 |
| 40.94 | 2.205 | 14 |
| 43.16 | 2.096 | 24 |
| 48.91 | 1.862 | 33 |
| 52.61 | 1.739 | 13 |
| 52.75 | 1.735 | 13 |

***

Starting from a PBE-relaxed structure, the XRD peak list of Rb6AlSb3 was computed for Cu Kα.
Peak positions follow from Bragg's law for the DFT cell and can differ from measured ones.

Lattice parameters (Å, degrees): 10.9125 6.3323 12.5416 90.00 100.84 90.00
Fractional positions:
Rb 0.0421 0.2500 0.0781
Rb 0.0616 0.2500 0.4604
Rb 0.2397 0.7500 0.7757
Rb 0.3647 0.2500 0.9772
Rb 0.3766 0.2500 0.3219
Rb 0.4157 0.2500 0.6309
Rb 0.5843 0.7500 0.3691
Rb 0.6234 0.7500 0.6781
Rb 0.6353 0.7500 0.0228
Rb 0.7603 0.2500 0.2243
Rb 0.9384 0.7500 0.5396
Rb 0.9579 0.7500 0.9219
Al 0.1790 0.7500 0.2795
Al 0.8210 0.2500 0.7205
Sb 0.0669 0.2500 0.7738
Sb 0.2865 0.7500 0.4883
Sb 0.3213 0.7500 0.1244
Sb 0.6787 0.2500 0.8756
Sb 0.7135 0.2500 0.5117
Sb 0.9331 0.7500 0.2262

Principal peaks in the range 2θ = 10–90°, low angle first:
| 2θ (°) | d/Å | intensity |
| --- | --- | --- |
| 24.63 | 3.614 | 11 |
| 24.92 | 3.573 | 12 |
| 28.18 | 3.166 | 41 |
| 28.47 | 3.135 | 100 |
| 28.69 | 3.112 | 46 |
| 37.80 | 2.380 | 11 |
| 50.09 | 1.821 | 11 |
| 52.81 | 1.734 | 12 |

***

Starting from a PBE-relaxed structure, the XRD peak list of AlRe was computed for Cu Kα.
Peak positions follow from Bragg's law for the DFT cell and can differ from measured ones.

Lattice parameters (Å, degrees): 3.0627 3.0627 3.0627 90.00 90.00 90.00
Fractional positions:
Al 0.0000 0.0000 0.0000
Re 0.5000 0.5000 0.5000

Principal peaks in the range 2θ = 10–90°, low angle first:
| 2θ (°) | d/Å | intensity |
| --- | --- | --- |
| 29.16 | 3.063 | 71 |
| 41.71 | 2.166 | 100 |
| 51.69 | 1.768 | 20 |
| 60.45 | 1.531 | 17 |
| 68.50 | 1.370 | 26 |
| 76.13 | 1.250 | 35 |

***

Starting from a PBE-relaxed structure, the XRD peak list of Al6Re was computed for Cu Kα.
Peak positions follow from Bragg's law for the DFT cell and can differ from measured ones.

Lattice parameters (Å, degrees): 5.0588 5.0588 9.0337 90.00 90.00 81.88
Fractional positions:
Al 0.0311 0.6099 0.2500
Al 0.1290 0.8710 0.6012
Al 0.1290 0.8710 0.8988
Al 0.3252 0.3252 0.0000
Al 0.3252 0.3252 0.5000
Al 0.3901 0.9689 0.2500
Al 0.6099 0.0311 0.7500
Al 0.6748 0.6748 0.0000
Al 0.6748 0.6748 0.5000
Al 0.8710 0.1290 0.1012
Al 0.8710 0.1290 0.3988
Al 0.9689 0.3901 0.7500
Re 0.4538 0.5462 0.7500
Re 0.5462 0.4538 0.2500

Principal peaks in the range 2θ = 10–90°, low angle first:
| 2θ (°) | d/Å | intensity |
| --- | --- | --- |
| 17.71 | 5.008 | 100 |
| 19.65 | 4.517 | 45 |
| 23.28 | 3.821 | 32 |
| 26.58 | 3.354 | 76 |
| 30.64 | 2.917 | 30 |
| 41.22 | 2.190 | 46 |
| 42.98 | 2.104 | 56 |
| 43.98 | 2.059 | 42 |

***

Starting from a PBE-relaxed structure, the XRD peak list of AlRe was computed for Cu Kα.
Peak positions follow from Bragg's law for the DFT cell and can differ from measured ones.

Lattice parameters (Å, degrees): 3.1015 3.1015 5.9955 90.00 90.00 90.00
Fractional positions:
Al 0.2500 0.2500 0.1280
Al 0.7500 0.7500 0.8720
Re 0.2500 0.2500 0.6348
Re 0.7500 0.7500 0.3652

Principal peaks in the range 2θ = 10–90°, low angle first:
| 2θ (°) | d/Å | intensity |
| --- | --- | --- |
| 14.78 | 5.996 | 76 |
| 32.50 | 2.755 | 63 |
| 41.16 | 2.193 | 53 |
| 41.91 | 2.155 | 100 |
| 43.96 | 2.060 | 21 |
| 59.62 | 1.551 | 18 |
| 75.53 | 1.259 | 36 |
| 77.07 | 1.237 | 16 |